# 1
Diffraction record for Pm2NdYTm2. The XRD peak list is simulated, not measured: it uses a DFT-relaxed cell (PBE, Alexandria) and λ = 1.5418 Å (Cu Kα).
Intensities are scaled so that the largest is 100.

Crystal structure
Cell: 7.0434 9.8264 5.6568 Å, 90.00 90.00 90.00°
Sites, in units of the cell vectors:
Pm  0.2478  0.1671  0.0000
Pm  0.2522  0.6671  0.5000
Pm  0.7478  0.3329  0.5000
Pm  0.7522  0.8329  0.0000
Nd  0.0000  0.5000  0.0000
Nd  0.5000  0.0000  0.5000
Y  0.0000  0.0000  0.5000
Y  0.5000  0.5000  0.0000
Tm  0.2499  0.3338  0.5000
Tm  0.2501  0.8338  0.0000
Tm  0.7499  0.1662  0.0000
Tm  0.7501  0.6662  0.5000

Peak list (8 most intense, 2θ from 10° to 90°, by intensity)
d = 2.833 Å, 31.59°, I 100
d = 2.861 Å, 31.27°, I 83
d = 2.013 Å, 45.04°, I 30
d = 1.495 Å, 62.06°, I 29
d = 1.642 Å, 56.02°, I 21
d = 2.207 Å, 40.89°, I 21
d = 1.639 Å, 56.13°, I 17
d = 1.634 Å, 56.30°, I 13

***

# 2
Diffraction record for Pm2Nd2YTm. The XRD peak list is simulated, not measured: it uses a DFT-relaxed cell (PBE, Alexandria) and λ = 1.5418 Å (Cu Kα).
Intensities are scaled so that the largest is 100.

Crystal structure
Cell: 7.1010 5.7056 9.9057 Å, 90.00 90.00 90.00°
Sites, in units of the cell vectors:
Pm  0.2500  0.0000  0.1623
Pm  0.2500  0.5000  0.6692
Pm  0.7500  0.0000  0.8377
Pm  0.7500  0.5000  0.3308
Nd  0.0000  0.5000  0.0000
Nd  0.2500  0.0000  0.8241
Nd  0.5000  0.5000  0.0000
Nd  0.7500  0.0000  0.1759
Y  0.0000  0.0000  0.5000
Y  0.5000  0.0000  0.5000
Tm  0.2500  0.5000  0.3403
Tm  0.7500  0.5000  0.6597

Peak list (8 most intense, 2θ from 10° to 90°, by intensity)
d = 2.856 Å, 31.32°, I 100
d = 2.884 Å, 31.00°, I 85
d = 1.654 Å, 55.55°, I 32
d = 2.030 Å, 44.65°, I 31
d = 1.508 Å, 61.50°, I 29
d = 2.225 Å, 40.54°, I 19
d = 1.648 Å, 55.78°, I 13
d = 3.551 Å, 25.08°, I 11

***

# 3
Diffraction record for PmNd3YTm. The XRD peak list is simulated, not measured: it uses a DFT-relaxed cell (PBE, Alexandria) and λ = 1.5418 Å (Cu Kα).
Intensities are scaled so that the largest is 100.

Crystal structure
Cell: 5.8211 7.0677 9.8039 Å, 90.05 90.50 90.24°
Sites, in units of the cell vectors:
Pm  0.2481  0.4983  0.2453
Pm  0.7519  0.5017  0.7547
Nd  0.2207  0.7555  0.5798
Nd  0.2216  0.2427  0.9169
Nd  0.2802  0.2465  0.5813
Nd  0.7198  0.7535  0.4187
Nd  0.7784  0.7573  0.0831
Nd  0.7793  0.2445  0.4202
Y  0.2763  0.7502  0.9175
Y  0.7237  0.2498  0.0825
Tm  0.2510  0.0025  0.2452
Tm  0.7490  0.9975  0.7548

Peak list (8 most intense, 2θ from 10° to 90°, by intensity)
d = 2.863 Å, 31.24°, I 100
d = 2.890 Å, 30.94°, I 70
d = 2.910 Å, 30.72°, I 49
d = 2.839 Å, 31.51°, I 49
d = 2.878 Å, 31.08°, I 26
d = 1.503 Å, 61.73°, I 21
d = 2.043 Å, 44.34°, I 19
d = 1.675 Å, 54.80°, I 17

***

# 4
Diffraction record for PmNd2YTm5. The XRD peak list is simulated, not measured: it uses a DFT-relaxed cell (PBE, Alexandria) and λ = 1.5418 Å (Cu Kα).
Intensities are scaled so that the largest is 100.

Crystal structure
Cell: 9.8432 9.8432 9.8432 Å, 127.70 127.70 77.12°
Sites, in units of the cell vectors:
Pm  0.2500  0.2500  0.0000
Pm  0.7500  0.7500  0.0000
Nd  0.1167  0.6167  0.7334
Nd  0.3833  0.1167  0.5000
Nd  0.6167  0.8833  0.5000
Nd  0.8833  0.3833  0.2666
Y  0.2500  0.7500  0.5000
Y  0.7500  0.2500  0.5000
Tm  0.0000  0.0000  0.0000
Tm  0.0734  0.1501  0.5000
Tm  0.1501  0.6501  0.0767
Tm  0.3499  0.4266  0.5000
Tm  0.4266  0.9266  0.0767
Tm  0.5000  0.5000  0.0000
Tm  0.5734  0.0734  0.9233
Tm  0.6501  0.5734  0.5000
Tm  0.8499  0.3499  0.9233
Tm  0.9266  0.8499  0.5000

Peak list (8 most intense, 2θ from 10° to 90°, by intensity)
d = 2.879 Å, 31.06°, I 100
d = 3.068 Å, 29.11°, I 52
d = 3.095 Å, 28.85°, I 50
d = 1.732 Å, 52.84°, I 22
d = 2.086 Å, 43.38°, I 19
d = 2.744 Å, 32.63°, I 18
d = 2.378 Å, 37.84°, I 17
d = 1.630 Å, 56.45°, I 13

***

# 5
Diffraction record for PmNd2Y6Tm. The XRD peak list is simulated, not measured: it uses a DFT-relaxed cell (PBE, Alexandria) and λ = 1.5418 Å (Cu Kα).
Intensities are scaled so that the largest is 100.

Crystal structure
Cell: 8.8069 8.8069 9.7882 Å, 94.85 94.85 117.67°
Sites, in units of the cell vectors:
Pm  0.0184  0.9816  0.7500
Pm  0.9816  0.0184  0.2500
Nd  0.1952  0.2946  0.5450
Nd  0.2946  0.1952  0.0450
Nd  0.7054  0.8048  0.9550
Nd  0.8048  0.7054  0.4550
Y  0.0170  0.5723  0.6862
Y  0.1219  0.7430  0.0571
Y  0.2570  0.8781  0.4429
Y  0.2967  0.5072  0.8826
Y  0.4277  0.9830  0.8138
Y  0.4928  0.7033  0.6174
Y  0.5072  0.2967  0.3826
Y  0.5723  0.0170  0.1862
Y  0.7033  0.4928  0.1174
Y  0.7430  0.1219  0.5571
Y  0.8781  0.2570  0.9429
Y  0.9830  0.4277  0.3138
Tm  0.4070  0.5930  0.2500
Tm  0.5930  0.4070  0.7500

Peak list (8 most intense, 2θ from 10° to 90°, by intensity)
d = 2.855 Å, 31.34°, I 100
d = 2.828 Å, 31.63°, I 79
d = 2.700 Å, 33.18°, I 65
d = 2.947 Å, 30.33°, I 55
d = 2.960 Å, 30.19°, I 54
d = 3.125 Å, 28.56°, I 46
d = 3.246 Å, 27.48°, I 30
d = 2.780 Å, 32.20°, I 24

***

# 6
Diffraction record for Pm2Nd6Y3. The XRD peak list is simulated, not measured: it uses a DFT-relaxed cell (PBE, Alexandria) and λ = 1.5418 Å (Cu Kα).
Intensities are scaled so that the largest is 100.

Crystal structure
Cell: 6.2781 6.2781 11.8219 Å, 95.12 95.12 120.07°
Sites, in units of the cell vectors:
Pm  0.1665  0.8335  0.0000
Pm  0.8335  0.1665  0.0000
Nd  0.0849  0.4169  0.7503
Nd  0.2511  0.2511  0.2494
Nd  0.4169  0.0849  0.7503
Nd  0.5831  0.9151  0.2497
Nd  0.7489  0.7489  0.7506
Nd  0.9151  0.5831  0.2497
Y  0.0000  0.0000  0.5000
Y  0.3344  0.6656  0.5000
Y  0.6656  0.3344  0.5000

Peak list (8 most intense, 2θ from 10° to 90°, by intensity)
d = 2.953 Å, 30.27°, I 100
d = 2.547 Å, 35.23°, I 67
d = 2.908 Å, 30.75°, I 32
d = 1.791 Å, 51.00°, I 23
d = 1.538 Å, 60.15°, I 19
d = 1.811 Å, 50.39°, I 16
d = 1.476 Å, 62.96°, I 12
d = 1.175 Å, 81.99°, I 12